Structure and calculated powder diffractogram of FeB3F12 (a PBE+U-relaxed structure; copper Kα).

Cell and atoms:
a = 10.1088 Å, b = 10.1088 Å, c = 4.8948 Å
α = 90.00°, β = 90.00°, γ = 120.00°
Space group P6_3/m (No. 176)
Unique sites:
Fe (0.3333, 0.6667, 0.2500) (multiplicity 2)
B (0.1238, 0.7129, 0.7500) (multiplicity 6)
F (0.0049, 0.5669, 0.7500) (multiplicity 6)
F (0.0951, 0.8285, 0.7500) (multiplicity 6)
F (0.2256, 0.7319, 0.5096) (multiplicity 12)

Peak list (8 most intense, 2θ from 10° to 80°, low angle first)
two_theta, I_rel
10.10, 100
17.55, 16
25.33, 22
27.33, 49
37.02, 14
41.52, 12
46.13, 16
52.02, 13